Computed XRD peak list of K2PSeF5 for Cu Kα, from a structure optimized by DFT (GGA-PBE).
No peak broadening, texture or thermal motion is included.

Structural model:
```
data_K2PSeF5
_symmetry_space_group_name_H-M 'I 4 m m'
_symmetry_Int_Tables_number 107
_symmetry_space_group_name_Hall 'I 4 -2'
_cell_length_a 6.4283
_cell_length_b 6.4283
_cell_length_c 9.1358
_cell_angle_alpha 90.00
_cell_angle_beta 90.00
_cell_angle_gamma 90.00
loop_
_atom_site_label
_atom_site_type_symbol
_atom_site_fract_x
_atom_site_fract_y
_atom_site_fract_z
K1 K 0.0000 0.5000 0.0000
P1 P 0.0000 0.0000 0.2020
Se1 Se 0.0000 0.0000 0.4482
F1 F 0.0000 0.0000 0.0163
F2 F 0.1858 0.1858 0.1873
```

Peak list (10 most intense, 10° ≤ 2θ ≤ 80°, sorted by position)
2θ/deg  intensity  (hkl)
16.9  100  1 0 1
19.5  30  0 0 2
27.7  45  2 0 0
32.5  17  1 0 3
32.7  18  2 1 1
34.1  67  2 0 2
39.5  15  0 0 4
39.7  37  2 2 0
43.3  14  3 0 1
52.3  15  3 2 1